The following is a calculated PXRD pattern of Zn2HgW. It was derived from a DFT-relaxed cell (PBE, Alexandria), using λ = 1.5418 Å (Cu Kα).
Intensities are scaled so that the largest is 100.

Principal peaks in the range 10° ≤ 2θ ≤ 90°, in order of rising 2θ:
two_theta, d_spacing, I_rel
22.73, 3.912, 39
29.92, 2.986, 22
30.98, 2.887, 18
37.90, 2.374, 100
38.77, 2.323, 98
43.61, 2.076, 68
46.42, 1.956, 29
49.73, 1.834, 23
65.58, 1.424, 40
75.72, 1.256, 24
77.38, 1.233, 25
80.89, 1.188, 12

Structural model:
```
data_Zn2HgW
_symmetry_space_group_name_H-M 'P m m m'
_symmetry_Int_Tables_number 47
_symmetry_space_group_name_Hall '-P 2 2'
_cell_length_a 2.8869
_cell_length_b 3.9121
_cell_length_c 5.9727
_cell_angle_alpha 90.00
_cell_angle_beta 90.00
_cell_angle_gamma 90.00
loop_
_atom_site_label
_atom_site_type_symbol
_atom_site_fract_x
_atom_site_fract_y
_atom_site_fract_z
_atom_site_occupancy
Zn1 Zn 0.0000 0.0000 0.2175 1
Hg1 Hg 0.5000 0.5000 0.5000 1
W1 W 0.5000 0.5000 0.0000 1
```


The following is a calculated PXRD pattern of Ba4GeI4. It was derived from a DFT-relaxed cell (PBE, Alexandria), using λ = 1.5418 Å (Cu Kα).
Intensities are scaled so that the largest is 100.

Principal peaks in the range 10° ≤ 2θ ≤ 90°, in order of rising 2θ:
two_theta, d_spacing, I_rel
10.60, 8.350, 10
24.90, 3.575, 100
25.11, 3.547, 47
35.05, 2.560, 17
35.31, 2.542, 34
35.99, 2.495, 56
44.18, 2.050, 9
44.37, 2.042, 20
51.10, 1.787, 13
58.26, 1.584, 18
64.45, 1.446, 8
64.70, 1.441, 9

Structural model:
```
data_Ba4GeI4
_symmetry_space_group_name_H-M 'C 1 2/m 1'
_symmetry_Int_Tables_number 12
_symmetry_space_group_name_Hall '-C 2y'
_cell_length_a 17.1009
_cell_length_b 4.9938
_cell_length_c 12.3042
_cell_angle_alpha 90.00
_cell_angle_beta 120.29
_cell_angle_gamma 90.00
loop_
_atom_site_label
_atom_site_type_symbol
_atom_site_fract_x
_atom_site_fract_y
_atom_site_fract_z
_atom_site_occupancy
Ba1 Ba 0.0787 0.0000 0.4025 1
Ba2 Ba 0.1857 0.5000 0.7716 1
Ge1 Ge 0.0000 0.5000 0.5000 1
I1 I 0.1166 0.0000 0.9080 1
I2 I 0.2006 0.5000 0.3091 1
```